# SmDyNiPt
Theoretical powder diffraction line list, Cu Ka. Input: a DFT-relaxed cell (GGA-PBE, Alexandria).

Main lines, in order of rising 2θ (2θ = 10–90°):
Position (°2θ)  I_rel  h k l
32.0  100  1 1 1
34.7  23  0 0 4
34.9  31  0 1 3
40.5  24  1 0 4
40.6  62  1 1 3
41.1  29  2 0 0
47.0  20  0 2 0
55.0  17  2 1 3

Structural model:
```
data_SmDyNiPt
_cell_length_a 4.3877
_cell_length_b 3.8686
_cell_length_c 10.3425
_cell_angle_alpha 90.00
_cell_angle_beta 90.00
_cell_angle_gamma 90.00
_symmetry_space_group_name_H-M 'P 1'
_symmetry_Int_Tables_number 1
loop_
_symmetry_equiv_pos_as_xyz
'x,y,z'
loop_
_atom_site_label
_atom_site_fract_x
_atom_site_fract_y
_atom_site_fract_z
Sm1 0.0000 0.0000 0.0000
Sm2 0.0000 0.5000 0.5000
Dy1 0.5000 0.0000 0.7201
Dy2 0.5000 0.5000 0.2201
Ni1 0.0000 0.0000 0.2781
Ni2 0.0000 0.5000 0.7781
Pt1 0.5000 0.0000 0.4344
Pt2 0.5000 0.5000 0.9344
```

# NdDy2Hg2
Theoretical powder diffraction line list, Cu Ka. Input: a DFT-relaxed cell (GGA-PBE, Alexandria).

Main lines, in order of rising 2θ (2θ = 10–90°):
Position (°2θ)  I_rel  h k l
19.6  24  1 0 0
24.1  18  0 1 1
34.3  98  1 1 0
34.4  100  0 1 2
49.3  37  2 0 2
61.4  57  3 0 0
61.7  19  1 0 4
82.5  17  3 1 2

Structural model:
```
data_NdDy2Hg2
_cell_length_a 5.2322
_cell_length_b 5.2322
_cell_length_c 6.3766
_cell_angle_alpha 90.00
_cell_angle_beta 90.00
_cell_angle_gamma 120.00
_symmetry_space_group_name_H-M 'P 1'
_symmetry_Int_Tables_number 1
loop_
_symmetry_equiv_pos_as_xyz
'x,y,z'
loop_
_atom_site_label
_atom_site_fract_x
_atom_site_fract_y
_atom_site_fract_z
Nd1 0.0000 0.0000 0.0000
Dy1 0.3333 0.6667 0.6586
Dy2 0.6667 0.3333 0.3414
Hg1 0.3333 0.6667 0.1801
Hg2 0.6667 0.3333 0.8199
```

# BaTh4Tl5
Theoretical powder diffraction line list, Cu Ka. Input: a DFT-relaxed cell (GGA-PBE, Alexandria).

Main lines, in order of rising 2θ (2θ = 10–90°):
Position (°2θ)  I_rel  h k l
30.2  82  1 1 0
32.8  100  1 0 5
36.9  23  1 0 6
43.3  31  2 0 0
55.3  49  2 1 5
58.1  13  2 1 6
71.3  15  3 1 0
88.6  15  3 2 5

Structural model:
```
data_BaTh4Tl5
_cell_length_a 4.1826
_cell_length_b 4.1826
_cell_length_c 18.0099
_cell_angle_alpha 90.00
_cell_angle_beta 90.00
_cell_angle_gamma 90.00
_symmetry_space_group_name_H-M 'P 1'
_symmetry_Int_Tables_number 1
loop_
_symmetry_equiv_pos_as_xyz
'x,y,z'
loop_
_atom_site_label
_atom_site_fract_x
_atom_site_fract_y
_atom_site_fract_z
Ba1 0.0000 0.0000 0.0000
Th1 0.0000 0.0000 0.2221
Th2 0.0000 0.0000 0.4070
Th3 0.0000 0.0000 0.5930
Th4 0.0000 0.0000 0.7779
Tl1 0.5000 0.5000 0.1249
Tl2 0.5000 0.5000 0.3130
Tl3 0.5000 0.5000 0.5000
Tl4 0.5000 0.5000 0.6870
Tl5 0.5000 0.5000 0.8751
```

What did the third record say?
# BaTh4Tl5
Theoretical powder diffraction line list, Cu Ka. Input: a DFT-relaxed cell (GGA-PBE, Alexandria).

Main lines, in order of rising 2θ (2θ = 10–90°):
Position (°2θ)  I_rel  h k l
30.2  82  1 1 0
32.8  100  1 0 5
36.9  23  1 0 6
43.3  31  2 0 0
55.3  49  2 1 5
58.1  13  2 1 6
71.3  15  3 1 0
88.6  15  3 2 5

Structural model:
```
data_BaTh4Tl5
_cell_length_a 4.1826
_cell_length_b 4.1826
_cell_length_c 18.0099
_cell_angle_alpha 90.00
_cell_angle_beta 90.00
_cell_angle_gamma 90.00
_symmetry_space_group_name_H-M 'P 1'
_symmetry_Int_Tables_number 1
loop_
_symmetry_equiv_pos_as_xyz
'x,y,z'
loop_
_atom_site_label
_atom_site_fract_x
_atom_site_fract_y
_atom_site_fract_z
Ba1 0.0000 0.0000 0.0000
Th1 0.0000 0.0000 0.2221
Th2 0.0000 0.0000 0.4070
Th3 0.0000 0.0000 0.5930
Th4 0.0000 0.0000 0.7779
Tl1 0.5000 0.5000 0.1249
Tl2 0.5000 0.5000 0.3130
Tl3 0.5000 0.5000 0.5000
Tl4 0.5000 0.5000 0.6870
Tl5 0.5000 0.5000 0.8751
```

Copy entry 2 word for word.
# NdDy2Hg2
Theoretical powder diffraction line list, Cu Ka. Input: a DFT-relaxed cell (GGA-PBE, Alexandria).

Main lines, in order of rising 2θ (2θ = 10–90°):
Position (°2θ)  I_rel  h k l
19.6  24  1 0 0
24.1  18  0 1 1
34.3  98  1 1 0
34.4  100  0 1 2
49.3  37  2 0 2
61.4  57  3 0 0
61.7  19  1 0 4
82.5  17  3 1 2

Structural model:
```
data_NdDy2Hg2
_cell_length_a 5.2322
_cell_length_b 5.2322
_cell_length_c 6.3766
_cell_angle_alpha 90.00
_cell_angle_beta 90.00
_cell_angle_gamma 120.00
_symmetry_space_group_name_H-M 'P 1'
_symmetry_Int_Tables_number 1
loop_
_symmetry_equiv_pos_as_xyz
'x,y,z'
loop_
_atom_site_label
_atom_site_fract_x
_atom_site_fract_y
_atom_site_fract_z
Nd1 0.0000 0.0000 0.0000
Dy1 0.3333 0.6667 0.6586
Dy2 0.6667 0.3333 0.3414
Hg1 0.3333 0.6667 0.1801
Hg2 0.6667 0.3333 0.8199
```